# SrAl4O7
Theoretical X-ray diffraction stick pattern, Cu Kα (weighted mean of Kα1 and Kα2). Input: a structure optimized by DFT (PBE).
Intensities are scaled so that the largest is 100.

Lattice parameters (Å, degrees): 8.207 8.207 4.841 90.00 90.00 111.40
Atoms (fractional coordinates):
Sr1 0.000 0.500 0.000
Sr2 0.500 0.000 0.000
Al1 0.000 0.000 0.000
Al2 0.131 0.869 0.556
Al3 0.250 0.250 0.500
Al4 0.369 0.631 0.556
Al5 0.500 0.500 0.000
Al6 0.631 0.369 0.444
Al7 0.750 0.750 0.500
Al8 0.869 0.131 0.444
O1 0.073 0.213 0.268
O2 0.116 0.884 0.201
O3 0.213 0.073 0.732
O4 0.250 0.750 0.676
O5 0.287 0.427 0.732
O6 0.384 0.616 0.201
O7 0.427 0.287 0.268
O8 0.573 0.713 0.732
O9 0.616 0.384 0.799
O10 0.713 0.573 0.268
O11 0.750 0.250 0.324
O12 0.787 0.927 0.268
O13 0.884 0.116 0.799
O14 0.927 0.787 0.732

Main lines, low angle first (10° ≤ 2θ ≤ 90°):
2theta  I (rel.)
22.6  26
29.8  100
32.2  25
32.8  38
39.0  23
44.3  19